For Mo3Os2Ru4, DFT lattice parameters and positions (GGA-PBE) gives the computed X-ray powder pattern in this record (a wavelength of 1.5418 Å).
Lines closer than 0.1° are merged.

Crystal structure
```
data_Mo3Os2Ru4
_chemical_formula_sum 'Mo12 Os8 Ru16'
_cell_length_a 12.9872
_cell_length_b 7.7708
_cell_length_c 5.3412
_cell_angle_alpha 90.00
_cell_angle_beta 92.02
_cell_angle_gamma 90.00
_symmetry_space_group_name_H-M 'C 1 2/c 1'
_symmetry_Int_Tables_number 15
loop_
_symmetry_equiv_pos_as_xyz
'x,y,z'
'-x,-y,-z'
'-x,y,-z+1/2'
'x,-y,z+1/2'
'x+1/2,y+1/2,z'
'-x+1/2,-y+1/2,-z'
'-x+1/2,y+1/2,-z+1/2'
'x+1/2,-y+1/2,z+1/2'
loop_
_atom_site_label
_atom_site_type_symbol
_atom_site_fract_x
_atom_site_fract_y
_atom_site_fract_z
Mo1 Mo 0.0000 0.0083 0.2500
Mo2 Mo 0.1534 0.4524 0.2317
Os1 Os 0.1646 0.2116 0.8735
Ru1 Ru 0.0205 0.3213 0.5130
Ru2 Ru 0.1861 0.1274 0.4010
```

Peak list (10 most intense, 10 to 80 degrees two-theta, sorted by position)
| 2theta | intensity | hkl |
| --- | --- | --- |
| 35.99 | 30 | 1 1 -2 |
| 36.86 | 31 | 2 0 2 |
| 39.17 | 43 | 1 3 -1 |
| 40.59 | 100 | 3 3 0 |
| 40.82 | 39 | 3 1 -2 |
| 41.76 | 66 | 6 0 0 |
| 42.04 | 26 | 3 1 2 |
| 43.11 | 38 | 4 0 -2 |
| 43.84 | 58 | 2 2 2 |
| 49.36 | 36 | 1 3 -2 |

For DyErTm2, DFT lattice parameters and positions (GGA-PBE) gives the computed X-ray powder pattern in this record (a wavelength of 1.5418 Å).
Lines closer than 0.1° are merged.

Crystal structure
```
data_DyErTm2
_chemical_formula_sum 'Dy1 Er1 Tm2'
_cell_length_a 3.5721
_cell_length_b 5.5576
_cell_length_c 6.1853
_cell_angle_alpha 90.00
_cell_angle_beta 90.00
_cell_angle_gamma 90.00
_symmetry_space_group_name_H-M 'P m m 2'
_symmetry_Int_Tables_number 25
loop_
_symmetry_equiv_pos_as_xyz
'x,y,z'
'-x,-y,z'
'-x,y,z'
'x,-y,z'
loop_
_atom_site_label
_atom_site_type_symbol
_atom_site_fract_x
_atom_site_fract_y
_atom_site_fract_z
Dy1 Dy 0.0000 0.0000 0.0000
Er1 Er 0.0000 0.5000 0.6656
Tm1 Tm 0.5000 0.0000 0.4988
Tm2 Tm 0.5000 0.5000 0.1663
```

Peak list (10 most intense, 10 to 80 degrees two-theta, sorted by position)
| 2theta | intensity | hkl |
| --- | --- | --- |
| 28.87 | 24 | 0 0 2 |
| 32.21 | 24 | 0 2 0 |
| 33.15 | 100 | 1 1 1 |
| 43.79 | 16 | 0 2 2 |
| 51.14 | 7 | 2 0 0 |
| 51.15 | 13 | 1 0 3 |
| 58.03 | 20 | 1 3 1 |
| 61.75 | 23 | 2 2 0 |
| 62.32 | 16 | 0 1 4 |
| 69.57 | 4 | 2 2 2 |

Copy entry 2 word for word.
For DyErTm2, DFT lattice parameters and positions (GGA-PBE) gives the computed X-ray powder pattern in this record (a wavelength of 1.5418 Å).
Lines closer than 0.1° are merged.

Crystal structure
```
data_DyErTm2
_chemical_formula_sum 'Dy1 Er1 Tm2'
_cell_length_a 3.5721
_cell_length_b 5.5576
_cell_length_c 6.1853
_cell_angle_alpha 90.00
_cell_angle_beta 90.00
_cell_angle_gamma 90.00
_symmetry_space_group_name_H-M 'P m m 2'
_symmetry_Int_Tables_number 25
loop_
_symmetry_equiv_pos_as_xyz
'x,y,z'
'-x,-y,z'
'-x,y,z'
'x,-y,z'
loop_
_atom_site_label
_atom_site_type_symbol
_atom_site_fract_x
_atom_site_fract_y
_atom_site_fract_z
Dy1 Dy 0.0000 0.0000 0.0000
Er1 Er 0.0000 0.5000 0.6656
Tm1 Tm 0.5000 0.0000 0.4988
Tm2 Tm 0.5000 0.5000 0.1663
```

Peak list (10 most intense, 10 to 80 degrees two-theta, sorted by position)
| 2theta | intensity | hkl |
| --- | --- | --- |
| 28.87 | 24 | 0 0 2 |
| 32.21 | 24 | 0 2 0 |
| 33.15 | 100 | 1 1 1 |
| 43.79 | 16 | 0 2 2 |
| 51.14 | 7 | 2 0 0 |
| 51.15 | 13 | 1 0 3 |
| 58.03 | 20 | 1 3 1 |
| 61.75 | 23 | 2 2 0 |
| 62.32 | 16 | 0 1 4 |
| 69.57 | 4 | 2 2 2 |